No. 1
Starting from a structure optimized by DFT (GGA-PBE), the powder XRD pattern of Ba3Ga3N5 was calculated for Cu Kα, 1.54184 Å.

Structure:
```
data_Ba3Ga3N5
_chemical_formula_sum 'Ba24 Ga24 N40'
_space_group_name_H-M_alt 'C 1 2/c 1'
_space_group_IT_number 15
_cell_length_a 16.992
_cell_length_b 8.415
_cell_length_c 11.783
_cell_angle_alpha 90.00
_cell_angle_beta 109.85
_cell_angle_gamma 90.00
loop_
_space_group_symop_operation_xyz
'x,y,z'
'-x,-y,-z'
'-x,y,-z+1/2'
'x,-y,z+1/2'
'x+1/2,y+1/2,z'
'-x+1/2,-y+1/2,-z'
'-x+1/2,y+1/2,-z+1/2'
'x+1/2,-y+1/2,z+1/2'
loop_
_atom_site_label
_atom_site_type_symbol
_atom_site_fract_x
_atom_site_fract_y
_atom_site_fract_z
_atom_site_occupancy
Ba1 Ba 0.000 0.155 0.250 1
Ba2 Ba 0.000 0.338 0.750 1
Ba3 Ba 0.189 0.410 0.385 1
Ba4 Ba 0.206 0.124 0.837 1
Ga1 Ga 0.079 0.068 0.998 1
Ga2 Ga 0.080 0.435 0.057 1
Ga3 Ga 0.098 0.245 0.550 1
N1 N 0.030 0.399 0.421 1
N2 N 0.045 0.074 0.617 1
N3 N 0.137 0.269 0.002 1
N4 N 0.151 0.103 0.460 1
N5 N 0.157 0.408 0.674 1
```

The 12 most intense peaks (2θ = 10–80°), low angle first:
index  two_theta  Rel. int.
2 2 -1  24.0  29
2 2 1  26.4  100
4 2 -1  29.9  25
2 0 -4  30.3  62
4 0 2  31.7  88
6 0 -2  32.0  77
0 2 3  32.2  45
3 1 -4  32.7  28
4 2 -3  34.3  55
3 3 -3  40.5  24
8 2 -1  48.6  19
1 3 5  54.6  19

=====

No. 2
Starting from a structure optimized by DFT (GGA-PBE), the powder XRD pattern of NdAl3Br12 was calculated for Cu Kα, 1.54184 Å.

Structure:
```
data_NdAl3Br12
_chemical_formula_sum 'Nd3 Al9 Br36'
_space_group_name_H-M_alt 'P 31 2 1'
_space_group_IT_number 152
_cell_length_a 10.8875
_cell_length_b 10.8875
_cell_length_c 18.9061
_cell_angle_alpha 90.00
_cell_angle_beta 90.00
_cell_angle_gamma 120.00
loop_
_space_group_symop_operation_xyz
'x,y,z'
'-y,x-y,z+1/3'
'-x+y,-x,z+2/3'
'y,x,-z'
'x-y,-y,-z+2/3'
'-x,-x+y,-z+1/3'
loop_
_atom_site_label
_atom_site_type_symbol
_atom_site_fract_x
_atom_site_fract_y
_atom_site_fract_z
_atom_site_occupancy
Nd1 Nd 0.0000 0.7339 0.1667 1
Al1 Al 0.0000 0.0971 0.6667 1
Al2 Al 0.2970 0.6373 0.2206 1
Br1 Br 0.0272 0.2285 0.7691 1
Br2 Br 0.0737 0.1944 0.3643 1
Br3 Br 0.0799 0.5928 0.2774 1
Br4 Br 0.1527 0.7228 0.8498 1
Br5 Br 0.2220 0.7089 0.6229 1
Br6 Br 0.2298 0.5139 0.4564 1
```

The 12 most intense peaks (2θ = 10–80°), low angle first:
index  two_theta  Rel. int.
0 1 1  10.5  100
1 0 2  13.3  25
1 0 3  16.9  31
1 1 4  25.0  38
1 0 5  25.4  47
0 2 4  26.7  61
1 1 5  28.8  61
0 3 2  29.9  39
1 2 4  31.4  31
3 0 4  34.3  50
0 3 5  37.2  27
4 0 0  38.1  27

=====

No. 3
Starting from a structure optimized by DFT (GGA-PBE), the powder XRD pattern of Zr2InC was calculated for Cu Kα, 1.54184 Å.

Structure:
```
data_Zr2InC
_chemical_formula_sum 'Zr4 In2 C2'
_space_group_name_H-M_alt 'P 63/m m c'
_space_group_IT_number 194
_space_group_name_Hall '-P 6c 2c'
_cell_length_a 3.3733
_cell_length_b 3.3733
_cell_length_c 15.1217
_cell_angle_alpha 90.00
_cell_angle_beta 90.00
_cell_angle_gamma 120.00
loop_
_atom_site_label
_atom_site_type_symbol
_atom_site_fract_x
_atom_site_fract_y
_atom_site_fract_z
_atom_site_occupancy
Zr1 Zr 0.3333 0.6667 0.0822 1
In1 In 0.3333 0.6667 0.7500 1
C1 C 0.0000 0.0000 0.0000 1
```

The 12 most intense peaks (2θ = 10–80°), low angle first:
index  two_theta  Rel. int.
0 0 4  23.5  1
1 0 0  30.6  21
1 0 1  31.2  1
1 0 3  35.5  100
0 0 6  35.6  21
1 0 6  47.7  16
1 1 0  54.4  20
2 0 0  63.7  3
1 0 9  63.9  17
1 1 6  66.7  34
2 0 6  75.2  4
0 0 12  75.4  2

=====

No. 4
Starting from a structure optimized by DFT (GGA-PBE), the powder XRD pattern of Ce2CuS2O was calculated for Cu Kα, 1.54184 Å.

Structure:
```
data_Ce2CuS2O
_chemical_formula_sum 'Ce2 Cu1 S2 O1'
_space_group_name_H-M_alt 'P 4/m m m'
_space_group_IT_number 123
_space_group_name_Hall '-P 4 2'
_cell_length_a 3.986
_cell_length_b 3.986
_cell_length_c 13.256
_cell_angle_alpha 90.00
_cell_angle_beta 90.00
_cell_angle_gamma 90.00
loop_
_atom_site_label
_atom_site_type_symbol
_atom_site_fract_x
_atom_site_fract_y
_atom_site_fract_z
_atom_site_occupancy
Ce1 Ce 0.000 0.000 0.157 1
Cu1 Cu 0.000 0.000 0.500 1
S1 S 0.000 0.000 0.341 1
O1 O 0.000 0.000 0.000 1
```

The 12 most intense peaks (2θ = 10–80°), low angle first:
index  two_theta  Rel. int.
0 0 3  20.1  22
1 0 0  22.3  100
1 0 3  30.2  33
1 1 0  31.7  40
1 1 3  37.9  18
2 0 0  45.5  14
1 0 6  47.0  23
2 1 0  51.2  20
1 1 6  52.6  16
2 1 3  55.6  12
2 0 6  62.8  9
2 1 6  67.5  15

=====

No. 5
Starting from a structure optimized by DFT (GGA-PBE), the powder XRD pattern of Na2SbSO4F3 was calculated for Cu Kα, 1.54184 Å.

Structure:
```
data_Na2SbSO4F3
_chemical_formula_sum 'Na16 Sb8 S8 O32 F24'
_space_group_name_H-M_alt 'C m c e'
_space_group_IT_number 64
_space_group_name_Hall '-C 2ac 2'
_cell_length_a 15.265
_cell_length_b 7.325
_cell_length_c 11.254
_cell_angle_alpha 90.00
_cell_angle_beta 90.00
_cell_angle_gamma 90.00
loop_
_atom_site_label
_atom_site_type_symbol
_atom_site_fract_x
_atom_site_fract_y
_atom_site_fract_z
_atom_site_occupancy
Na1 Na 0.118 0.000 0.000 1
Na2 Na 0.250 0.220 0.250 1
Sb1 Sb 0.000 0.113 0.337 1
S1 S 0.183 0.000 0.500 1
O1 O 0.125 0.162 0.476 1
O2 O 0.239 0.035 0.606 1
F1 F 0.000 0.123 0.884 1
F2 F 0.092 0.188 0.219 1
```

The 12 most intense peaks (2θ = 10–80°), low angle first:
index  two_theta  Rel. int.
2 0 0  11.6  71
1 1 1  15.6  57
2 0 2  19.6  44
1 1 2  20.7  84
4 0 0  23.3  31
0 2 1  25.6  61
3 1 2  26.6  50
1 1 3  27.3  33
4 0 2  28.2  100
3 1 3  32.1  56
5 1 1  32.8  32
4 0 4  39.8  34

=====

No. 6
Starting from a structure optimized by DFT (GGA-PBE), the powder XRD pattern of Mn2ZnTe4 was calculated for Cu Kα, 1.54184 Å.

Structure:
Cell: 11.541 11.541 11.541 Å, 90.00 90.00 90.00°
Space group Fd-3m (No. 227, origin choice 2)
Symmetry-distinct sites (fractional):
Mn (0.000, 0.000, 0.000)
Zn (0.125, 0.125, 0.625)
Te (0.009, 0.009, 0.241)

The 12 most intense peaks (2θ = 10–80°), low angle first:
index  two_theta  Rel. int.
1 1 1  13.3  8
2 2 0  21.8  9
3 1 1  25.6  18
2 2 2  26.8  86
4 0 0  31.0  88
5 1 1  40.6  25
4 4 0  44.4  100
6 2 2  52.6  36
4 4 4  55.1  20
8 0 0  64.6  15
6 6 2  71.2  13
8 4 0  73.4  23

=====

No. 7
Starting from a structure optimized by DFT (GGA-PBE), the powder XRD pattern of Ca2AlH2OF7 was calculated for Cu Kα, 1.54184 Å.

Structure:
```
data_Ca2AlH2OF7
_chemical_formula_sum 'Ca4 Al2 H4 O2 F14'
_space_group_name_H-M_alt 'P -1'
_space_group_IT_number 2
_cell_length_a 5.917
_cell_length_b 5.934
_cell_length_c 9.398
_cell_angle_alpha 78.62
_cell_angle_beta 77.55
_cell_angle_gamma 73.15
loop_
_space_group_symop_operation_xyz
'x,y,z'
'-x,-y,-z'
loop_
_atom_site_label
_atom_site_type_symbol
_atom_site_fract_x
_atom_site_fract_y
_atom_site_fract_z
_atom_site_occupancy
Ca1 Ca 0.084 0.084 0.145 1
Ca2 Ca 0.342 0.343 0.707 1
Al1 Al 0.000 0.000 0.500 1
Al2 Al 0.500 0.500 0.000 1
H1 H 0.224 0.466 0.388 1
H2 H 0.441 0.249 0.391 1
O1 O 0.381 0.409 0.420 1
F1 F 0.076 0.719 0.627 1
F2 F 0.092 0.145 0.624 1
F3 F 0.149 0.136 0.897 1
F4 F 0.259 0.612 0.886 1
F5 F 0.303 0.940 0.386 1
F6 F 0.324 0.323 0.128 1
F7 F 0.384 0.739 0.119 1
```

The 12 most intense peaks (2θ = 10–80°), low angle first:
index  two_theta  Rel. int.
1 1 0  19.3  53
1 1 -1  23.8  48
1 -1 0  25.2  100
1 0 3  31.1  20
0 1 3  31.5  20
2 2 0  39.2  29
0 0 4  39.7  25
2 0 3  40.1  24
0 1 -4  45.2  19
2 2 4  48.6  18
2 2 -2  48.8  30
3 0 2  49.7  19

=====

No. 8
Starting from a structure optimized by DFT (GGA-PBE), the powder XRD pattern of Cd5Ni was calculated for Cu Kα, 1.54184 Å.

Structure:
```
data_Cd5Ni
_chemical_formula_sum 'Cd80 Ni16'
_space_group_name_H-M_alt 'C m m 2'
_space_group_IT_number 35
_cell_length_a 13.964
_cell_length_b 14.300
_cell_length_c 10.012
_cell_angle_alpha 90.00
_cell_angle_beta 90.00
_cell_angle_gamma 90.00
loop_
_space_group_symop_operation_xyz
'x,y,z'
'-x,-y,z'
'-x,y,z'
'x,-y,z'
'x+1/2,y+1/2,z'
'-x+1/2,-y+1/2,z'
'-x+1/2,y+1/2,z'
'x+1/2,-y+1/2,z'
loop_
_atom_site_label
_atom_site_type_symbol
_atom_site_fract_x
_atom_site_fract_y
_atom_site_fract_z
_atom_site_occupancy
Cd1 Cd 0.000 0.000 0.000 1
Cd2 Cd 0.000 0.000 0.280 1
Cd3 Cd 0.000 0.143 0.487 1
Cd4 Cd 0.000 0.156 0.806 1
Cd5 Cd 0.000 0.198 0.133 1
Cd6 Cd 0.000 0.330 0.630 1
Cd7 Cd 0.000 0.400 0.142 1
Cd8 Cd 0.110 0.335 0.889 1
Cd9 Cd 0.123 0.371 0.400 1
Cd10 Cd 0.134 0.500 0.681 1
Cd11 Cd 0.154 0.000 0.780 1
Cd12 Cd 0.174 0.164 0.309 1
Cd13 Cd 0.178 0.000 0.484 1
Cd14 Cd 0.180 0.183 0.641 1
Cd15 Cd 0.187 0.144 0.990 1
Cd16 Cd 0.201 0.500 0.190 1
Ni1 Ni 0.000 0.500 0.493 1
Ni2 Ni 0.000 0.500 0.894 1
Ni3 Ni 0.169 0.308 0.147 1
Ni4 Ni 0.185 0.500 0.935 1
```

The 12 most intense peaks (2θ = 10–80°), low angle first:
index  two_theta  Rel. int.
2 0 3  29.7  11
4 0 2  31.2  11
3 3 2  32.3  27
1 1 4  37.0  32
5 3 0  37.3  22
0 6 0  37.7  36
3 5 1  38.0  44
3 3 3  38.2  100
6 0 0  38.7  27
2 4 3  39.1  16
6 0 6  69.3  11
9 3 3  69.7  10

=====

No. 9
Starting from a structure optimized by DFT (GGA-PBE), the powder XRD pattern of TcF6 was calculated for Cu Kα, 1.54184 Å.

Structure:
```
data_TcF6
_chemical_formula_sum 'Tc2 F12'
_space_group_name_H-M_alt 'I m -3 m'
_space_group_IT_number 229
_space_group_name_Hall '-I 4 2 3'
_cell_length_a 6.361
_cell_length_b 6.361
_cell_length_c 6.361
_cell_angle_alpha 90.00
_cell_angle_beta 90.00
_cell_angle_gamma 90.00
loop_
_atom_site_label
_atom_site_type_symbol
_atom_site_fract_x
_atom_site_fract_y
_atom_site_fract_z
_atom_site_occupancy
Tc1 Tc 0.000 0.000 0.000 1
F1 F 0.000 0.000 0.292 1
```

The 12 most intense peaks (2θ = 10–80°), low angle first:
index  two_theta  Rel. int.
1 1 0  19.7  100
2 0 0  28.1  31
2 1 1  34.5  7
2 2 0  40.1  6
3 1 0  45.1  36
3 2 1  53.9  13
4 0 0  58.0  6
3 3 0  61.9  15
4 2 0  65.6  7
3 3 2  69.3  6
4 2 2  72.8  1
4 3 1  76.3  13

=====

No. 10
Starting from a structure optimized by DFT (GGA-PBE), the powder XRD pattern of LaCoTc2 was calculated for Cu Kα, 1.54184 Å.

Structure:
```
data_LaCoTc2
_chemical_formula_sum 'La4 Co4 Tc8'
_space_group_name_H-M_alt 'F m -3 m'
_space_group_IT_number 225
_space_group_name_Hall '-F 4 2 3'
_cell_length_a 6.451
_cell_length_b 6.451
_cell_length_c 6.451
_cell_angle_alpha 90.00
_cell_angle_beta 90.00
_cell_angle_gamma 90.00
loop_
_atom_site_label
_atom_site_type_symbol
_atom_site_fract_x
_atom_site_fract_y
_atom_site_fract_z
_atom_site_occupancy
La1 La 0.000 0.000 0.000 1
Co1 Co 0.000 0.000 0.500 1
Tc1 Tc 0.250 0.250 0.250 1
```

The 7 most intense peaks (2θ = 10–80°), low angle first:
index  two_theta  Rel. int.
1 1 1  23.9  8
2 2 0  39.5  100
3 1 1  46.7  4
4 0 0  57.1  17
3 3 1  62.8  2
4 2 2  71.7  33
5 1 1  76.8  1

=====

Copy entry 2 word for word.
Starting from a structure optimized by DFT (GGA-PBE), the powder XRD pattern of NdAl3Br12 was calculated for Cu Kα, 1.54184 Å.

Structure:
```
data_NdAl3Br12
_chemical_formula_sum 'Nd3 Al9 Br36'
_space_group_name_H-M_alt 'P 31 2 1'
_space_group_IT_number 152
_cell_length_a 10.8875
_cell_length_b 10.8875
_cell_length_c 18.9061
_cell_angle_alpha 90.00
_cell_angle_beta 90.00
_cell_angle_gamma 120.00
loop_
_space_group_symop_operation_xyz
'x,y,z'
'-y,x-y,z+1/3'
'-x+y,-x,z+2/3'
'y,x,-z'
'x-y,-y,-z+2/3'
'-x,-x+y,-z+1/3'
loop_
_atom_site_label
_atom_site_type_symbol
_atom_site_fract_x
_atom_site_fract_y
_atom_site_fract_z
_atom_site_occupancy
Nd1 Nd 0.0000 0.7339 0.1667 1
Al1 Al 0.0000 0.0971 0.6667 1
Al2 Al 0.2970 0.6373 0.2206 1
Br1 Br 0.0272 0.2285 0.7691 1
Br2 Br 0.0737 0.1944 0.3643 1
Br3 Br 0.0799 0.5928 0.2774 1
Br4 Br 0.1527 0.7228 0.8498 1
Br5 Br 0.2220 0.7089 0.6229 1
Br6 Br 0.2298 0.5139 0.4564 1
```

The 12 most intense peaks (2θ = 10–80°), low angle first:
index  two_theta  Rel. int.
0 1 1  10.5  100
1 0 2  13.3  25
1 0 3  16.9  31
1 1 4  25.0  38
1 0 5  25.4  47
0 2 4  26.7  61
1 1 5  28.8  61
0 3 2  29.9  39
1 2 4  31.4  31
3 0 4  34.3  50
0 3 5  37.2  27
4 0 0  38.1  27